# 1
Diffraction record for Rb3AgF4. The X-ray diffraction stick pattern is theoretical, not measured: it uses a cell relaxed with GGA-PBE and a wavelength of 1.5418 Å.

Peak list (12 most intense, 2θ = 15–90°, by angle)
(hkl)  two_theta  Rel. int.
0 1 2  22.17  9
0 2 1  27.15  67
0 0 3  27.32  20
2 0 2  31.50  100
2 2 0  45.05  38
0 2 4  45.26  26
4 0 1  53.45  30
0 4 2  56.00  17
4 0 4  65.77  8
2 4 1  72.37  9
4 2 2  74.59  14
2 4 4  83.28  8

Structural model:
```
data_Rb3AgF4
_cell_length_a 8.0500
_cell_length_b 8.0500
_cell_length_c 9.7938
_cell_angle_alpha 90.00
_cell_angle_beta 90.00
_cell_angle_gamma 120.00
_space_group_name_H-M_alt 'R 3 m'
_space_group_IT_number 160
_space_group_name_Hall 'R 3 -2"'
loop_
_atom_site_label
_atom_site_type_symbol
_atom_site_fract_x
_atom_site_fract_y
_atom_site_fract_z
_atom_site_occupancy
Rb1 Rb 0.1675 0.3350 0.0000 1
Ag1 Ag 0.0000 0.0000 0.7158 1
F1 F 0.0000 0.0000 0.1652 1
F2 F 0.1810 0.3621 0.4788 1
```

# 2
Diffraction record for RbAg6F12. The X-ray diffraction stick pattern is theoretical, not measured: it uses a cell relaxed with GGA-PBE and a wavelength of 1.5418 Å.

Peak list (12 most intense, 2θ = 15–90°, by angle)
(hkl)  two_theta  Rel. int.
2 1 1  27.13  100
2 0 2  28.32  34
0 0 3  31.66  15
1 2 2  32.83  53
0 3 3  43.03  38
3 2 1  43.14  16
0 5 1  49.49  27
3 3 0  50.25  27
5 0 2  53.13  19
3 2 4  61.21  11
3 0 6  73.47  10
2 6 2  76.16  10

Structural model:
```
data_RbAg6F12
_cell_length_a 10.8932
_cell_length_b 10.8932
_cell_length_c 8.4779
_cell_angle_alpha 90.00
_cell_angle_beta 90.00
_cell_angle_gamma 120.00
_space_group_name_H-M_alt 'R -3 m'
_space_group_IT_number 166
_space_group_name_Hall '-R 3 2"'
loop_
_atom_site_label
_atom_site_type_symbol
_atom_site_fract_x
_atom_site_fract_y
_atom_site_fract_z
_atom_site_occupancy
Rb1 Rb 0.0000 0.0000 0.0000 1
Ag1 Ag 0.0836 0.5418 0.2883 1
F1 F 0.0000 0.3403 0.5000 1
F2 F 0.0829 0.1658 0.3121 1
```

# 3
Diffraction record for Rb3AgF6. The X-ray diffraction stick pattern is theoretical, not measured: it uses a cell relaxed with GGA-PBE and a wavelength of 1.5418 Å.

Peak list (12 most intense, 2θ = 15–90°, by angle)
(hkl)  two_theta  Rel. int.
1 1 1  16.22  4
2 0 0  18.75  5
2 2 0  26.64  100
2 2 2  32.78  3
4 0 0  38.03  39
4 2 2  47.04  40
4 4 0  54.87  24
6 2 0  62.02  20
4 4 4  68.71  8
6 4 2  75.11  22
8 0 0  81.33  3
6 6 0  87.44  11

Structural model:
```
data_Rb3AgF6
_cell_length_a 9.4646
_cell_length_b 9.4646
_cell_length_c 9.4646
_cell_angle_alpha 90.00
_cell_angle_beta 90.00
_cell_angle_gamma 90.00
_space_group_name_H-M_alt 'F m -3 m'
_space_group_IT_number 225
_space_group_name_Hall '-F 4 2 3'
loop_
_atom_site_label
_atom_site_type_symbol
_atom_site_fract_x
_atom_site_fract_y
_atom_site_fract_z
_atom_site_occupancy
Rb1 Rb 0.0000 0.0000 0.0000 1
Rb2 Rb 0.2500 0.2500 0.2500 1
Ag1 Ag 0.0000 0.0000 0.5000 1
F1 F 0.0000 0.0000 0.2768 1
```

# 4
Diffraction record for RbAg4F8. The X-ray diffraction stick pattern is theoretical, not measured: it uses a cell relaxed with GGA-PBE and a wavelength of 1.5418 Å.

Peak list (12 most intense, 2θ = 15–90°, by angle)
(hkl)  two_theta  Rel. int.
1 0 0  15.29  9
1 1 0  21.68  11
1 1 1  26.64  76
2 0 0  30.86  42
2 2 0  44.20  100
3 1 1  52.36  33
2 2 2  54.87  12
4 0 0  64.29  15
3 3 1  70.87  13
4 2 0  73.00  16
4 2 2  81.33  28
5 1 1  87.44  10

Structural model:
```
data_RbAg4F8
_cell_length_a 5.7958
_cell_length_b 5.7958
_cell_length_c 5.7958
_cell_angle_alpha 90.00
_cell_angle_beta 90.00
_cell_angle_gamma 90.00
_space_group_name_H-M_alt 'P m -3 m'
_space_group_IT_number 221
_space_group_name_Hall '-P 4 2 3'
loop_
_atom_site_label
_atom_site_type_symbol
_atom_site_fract_x
_atom_site_fract_y
_atom_site_fract_z
_atom_site_occupancy
Rb1 Rb 0.0000 0.0000 0.0000 1
Ag1 Ag 0.0000 0.0000 0.5000 1
Ag2 Ag 0.5000 0.5000 0.5000 1
F1 F 0.2614 0.2614 0.2614 1
```

# 5
Diffraction record for RbAg2F7. The X-ray diffraction stick pattern is theoretical, not measured: it uses a cell relaxed with GGA-PBE and a wavelength of 1.5418 Å.

Peak list (12 most intense, 2θ = 15–90°, by angle)
(hkl)  two_theta  Rel. int.
0 0 1  21.26  35
1 3 0  25.57  100
0 2 1  25.70  40
1 1 1  26.39  64
2 0 0  27.60  45
0 0 2  43.29  26
0 6 0  43.77  23
1 5 1  44.72  21
3 3 0  47.58  30
3 1 1  48.07  21
1 3 2  50.95  29
3 3 2  66.27  21

Structural model:
```
data_RbAg2F7
_cell_length_a 6.4646
_cell_length_b 12.4081
_cell_length_c 4.1798
_cell_angle_alpha 90.00
_cell_angle_beta 90.00
_cell_angle_gamma 90.00
_space_group_name_H-M_alt 'C m m m'
_space_group_IT_number 65
_space_group_name_Hall '-C 2 2'
loop_
_atom_site_label
_atom_site_type_symbol
_atom_site_fract_x
_atom_site_fract_y
_atom_site_fract_z
_atom_site_occupancy
Rb1 Rb 0.0000 0.0000 0.0000 1
Ag1 Ag 0.0000 0.3304 0.5000 1
F1 F 0.0000 0.3308 0.0000 1
F2 F 0.0000 0.5000 0.5000 1
F3 F 0.1877 0.1524 0.5000 1
```

# 6
Diffraction record for Rb2Ag2F7. The X-ray diffraction stick pattern is theoretical, not measured: it uses a cell relaxed with GGA-PBE and a wavelength of 1.5418 Å.

Peak list (12 most intense, 2θ = 15–90°, by angle)
(hkl)  two_theta  Rel. int.
0 1 0  15.27  65
1 0 1  17.23  100
1 1 0  21.83  58
1 1 1  22.25  97
1 -1 1  23.92  72
0 0 2  24.18  57
1 1 -1  27.48  54
-1 1 1  27.67  50
0 1 2  28.13  83
1 1 2  28.49  48
2 0 1  31.48  54
0 2 -2  40.43  61

Structural model:
```
data_Rb2Ag2F7
_cell_length_a 5.7183
_cell_length_b 5.8186
_cell_length_c 7.6893
_cell_angle_alpha 86.61
_cell_angle_beta 73.40
_cell_angle_gamma 86.66
_space_group_name_H-M_alt 'P -1'
_space_group_IT_number 2
loop_
_space_group_symop_operation_xyz
'x,y,z'
'-x,-y,-z'
loop_
_atom_site_label
_atom_site_type_symbol
_atom_site_fract_x
_atom_site_fract_y
_atom_site_fract_z
_atom_site_occupancy
Rb1 Rb 0.0915 0.1959 0.1904 1
Ag1 Ag 0.4241 0.2104 0.6719 1
F1 F 0.1008 0.3482 0.8136 1
F2 F 0.2548 0.9369 0.4659 1
F3 F 0.3692 0.9397 0.8555 1
F4 F 0.5000 0.5000 0.5000 1
```

# 7
Diffraction record for Rb2AgF5. The X-ray diffraction stick pattern is theoretical, not measured: it uses a cell relaxed with GGA-PBE and a wavelength of 1.5418 Å.

Peak list (12 most intense, 2θ = 15–90°, by angle)
(hkl)  two_theta  Rel. int.
1 0 1  25.11  20
2 0 0  28.44  38
1 1 1  28.92  100
2 1 0  31.88  17
2 0 1  35.42  20
2 2 0  40.66  39
0 0 2  42.04  18
3 1 1  50.66  40
2 0 2  51.54  15
4 0 0  58.86  12
2 2 2  59.92  23
5 1 1  81.31  11

Structural model:
```
data_Rb2AgF5
_cell_length_a 6.2763
_cell_length_b 6.2763
_cell_length_c 4.2985
_cell_angle_alpha 90.00
_cell_angle_beta 90.00
_cell_angle_gamma 90.00
_space_group_name_H-M_alt 'P 4/m m m'
_space_group_IT_number 123
_space_group_name_Hall '-P 4 2'
loop_
_atom_site_label
_atom_site_type_symbol
_atom_site_fract_x
_atom_site_fract_y
_atom_site_fract_z
_atom_site_occupancy
Rb1 Rb 0.0000 0.5000 0.0000 1
Ag1 Ag 0.0000 0.0000 0.5000 1
F1 F 0.0000 0.0000 0.0000 1
F2 F 0.2333 0.2333 0.5000 1
```

# 8
Diffraction record for Rb2AgF4. The X-ray diffraction stick pattern is theoretical, not measured: it uses a cell relaxed with GGA-PBE and a wavelength of 1.5418 Å.

Peak list (12 most intense, 2θ = 15–90°, by angle)
(hkl)  two_theta  Rel. int.
2 0 0  27.01  37
1 0 1  27.68  25
2 1 0  30.27  13
1 1 1  30.87  100
2 0 1  36.51  14
2 2 0  38.57  41
2 1 1  39.06  13
3 1 1  50.19  47
4 0 0  55.68  13
2 2 2  64.32  16
3 3 1  65.03  12
5 1 1  78.23  14

Structural model:
```
data_Rb2AgF4
_cell_length_a 6.6026
_cell_length_b 6.6026
_cell_length_c 3.6932
_cell_angle_alpha 90.00
_cell_angle_beta 90.00
_cell_angle_gamma 90.00
_space_group_name_H-M_alt 'P 4/m m m'
_space_group_IT_number 123
_space_group_name_Hall '-P 4 2'
loop_
_atom_site_label
_atom_site_type_symbol
_atom_site_fract_x
_atom_site_fract_y
_atom_site_fract_z
_atom_site_occupancy
Rb1 Rb 0.0000 0.5000 0.0000 1
Ag1 Ag 0.0000 0.0000 0.5000 1
F1 F 0.2247 0.2247 0.5000 1
```